Entry 1:
SrBrCl: computed X-ray powder pattern (λ = 1.5418 Å (Cu Kα)), based on a crystal structure in the Materials Project, relaxed with PBE.

Most intense lines, 10° ≤ 2θ ≤ 90°, most intense first:
2θ (°)	d [Å]	I (rel.)
35.03	2.562	100.0
24.57	3.623	52.8
62.84	1.479	34.4
56.83	1.620	21.6
50.38	1.811	17.0
43.26	2.091	16.0
84.59	1.146	15.3
74.02	1.281	10.6
79.35	1.208	10.4
21.24	4.183	8.5
89.79	1.092	6.4
41.33	2.184	3.6

a b c (Å): 5.123 5.123 5.123
angles (deg): 60.00 60.00 60.00
Positions (direct):
Sr 0.000 0.000 0.000
Br 0.500 0.500 0.500
Cl 0.250 0.250 0.250

=====

Entry 2:
Tl4BrCl3: computed X-ray powder pattern (λ = 1.5418 Å (Cu Kα)), based on a crystal structure in the Materials Project, relaxed with PBE.

Most intense lines, 10° ≤ 2θ ≤ 90°, most intense first:
2θ (°)	d [Å]	I (rel.)
32.12	2.787	100.0
22.56	3.941	43.9
57.25	1.609	38.3
51.87	1.763	20.9
46.06	1.971	18.3
39.60	2.276	14.6
76.40	1.247	13.7
67.18	1.394	11.8
71.85	1.314	8.8
85.31	1.138	4.2
89.68	1.093	4.0
80.86	1.189	4.0

a b c (Å): 3.944 5.575 11.139
angles (deg): 90.00 90.00 90.00
Positions (direct):
Tl 0.000 0.000 0.000
Tl 0.000 0.000 0.500
Tl 0.000 0.500 0.246
Tl 0.000 0.500 0.754
Br 0.500 0.500 0.500
Cl 0.500 0.000 0.249
Cl 0.500 0.000 0.751
Cl 0.500 0.500 0.000

=====

Entry 3:
CoBr: computed X-ray powder pattern (λ = 1.5418 Å (Cu Kα)), based on a crystal structure in the Materials Project, relaxed with PBE.

Most intense lines, 10° ≤ 2θ ≤ 90°, most intense first:
2θ (°)	d [Å]	I (rel.)
29.49	3.029	100.0
50.51	1.807	42.2
52.31	1.749	18.9
67.86	1.381	16.7
40.06	2.251	14.2
75.68	1.257	12.1
61.19	1.515	11.5
84.65	1.145	9.1
35.73	2.513	2.2
19.72	4.502	1.7
86.46	1.126	1.4
56.44	1.630	0.7

a b c (Å): 3.498 3.498 4.502
angles (deg): 90.00 90.00 120.00
Positions (direct):
Co 0.000 0.000 0.000
Br 0.000 0.000 0.500

=====

Entry 4:
CoBr2: computed X-ray powder pattern (λ = 1.5418 Å (Cu Kα)), based on a crystal structure in the Materials Project, relaxed with PBE.

Most intense lines, 10° ≤ 2θ ≤ 90°, most intense first:
2θ (°)	d [Å]	I (rel.)
30.50	2.931	100.0
12.82	6.907	74.6
38.10	2.362	60.7
48.72	1.869	32.7
48.52	1.876	31.5
58.58	1.576	14.8
63.47	1.466	12.8
50.60	1.804	12.7
79.57	1.205	12.2
83.90	1.153	11.6
87.89	1.111	11.5
60.80	1.523	10.6

a b c (Å): 3.738 3.738 6.907
angles (deg): 90.00 90.00 120.00
Positions (direct):
Co 0.000 0.000 0.000
Br 0.333 0.667 0.793
Br 0.667 0.333 0.207